1.
Computed powder XRD pattern of Nd5DyHg6 for Cu Kα, from DFT lattice parameters and positions (PBE).
Neutral-atom scattering factors, no anomalous dispersion.

Crystal structure
Cell lengths 5.382, 7.674, 8.520 Å; angles 90.00, 108.23, 90.00 degrees
Positions (direct):
Nd: 0.000 0.000 0.000
Nd: 0.331 0.000 0.663
Nd: 0.333 0.500 0.667
Nd: 0.667 0.500 0.333
Nd: 0.669 0.000 0.337
Dy: 0.000 0.500 0.000
Hg: 0.163 0.254 0.326
Hg: 0.163 0.746 0.326
Hg: 0.500 0.258 0.000
Hg: 0.500 0.742 0.000
Hg: 0.837 0.254 0.674
Hg: 0.837 0.746 0.674

Principal peaks in the range 2θ = 10–80°, by angle:
d_spacing  2θ (°)  intensity
2.704  33.13  100
2.694  33.26  50
1.919  47.38  9
1.908  47.66  9
1.902  47.82  9
1.563  59.12  19
1.560  59.24  9
1.557  59.35  19
1.555  59.45  10
1.207  79.36  6


2.
Computed powder XRD pattern of La8GaP3Cl4 for Cu Kα, from DFT lattice parameters and positions (PBE).
Neutral-atom scattering factors, no anomalous dispersion.

Crystal structure
Cell lengths 7.728, 7.728, 9.147 Å; angles 115.42, 115.42, 62.43 degrees
Positions (direct):
La: 0.234 0.752 0.724
La: 0.243 0.243 0.714
La: 0.248 0.766 0.276
La: 0.250 0.250 0.277
La: 0.750 0.750 0.723
La: 0.752 0.234 0.724
La: 0.757 0.757 0.286
La: 0.766 0.248 0.276
Ga: 0.500 0.500 0.500
P: 0.000 0.000 0.500
P: 0.000 0.500 0.500
P: 0.500 0.000 0.500
Cl: 0.000 0.000 0.000
Cl: 0.000 0.500 0.000
Cl: 0.500 0.000 0.000
Cl: 0.500 0.500 0.000

Principal peaks in the range 2θ = 10–80°, by angle:
d_spacing  2θ (°)  intensity
7.912  11.18  12
3.956  22.48  27
3.280  27.19  41
3.202  27.86  18
2.982  29.97  100
2.858  31.30  47
2.230  40.44  58
2.002  45.29  17
1.930  47.09  29
1.640  56.08  17


What is the formula in the first record? Nd5DyHg6


Repeat the second record exactly.
Computed powder XRD pattern of La8GaP3Cl4 for Cu Kα, from DFT lattice parameters and positions (PBE).
Neutral-atom scattering factors, no anomalous dispersion.

Crystal structure
Cell lengths 7.728, 7.728, 9.147 Å; angles 115.42, 115.42, 62.43 degrees
Positions (direct):
La: 0.234 0.752 0.724
La: 0.243 0.243 0.714
La: 0.248 0.766 0.276
La: 0.250 0.250 0.277
La: 0.750 0.750 0.723
La: 0.752 0.234 0.724
La: 0.757 0.757 0.286
La: 0.766 0.248 0.276
Ga: 0.500 0.500 0.500
P: 0.000 0.000 0.500
P: 0.000 0.500 0.500
P: 0.500 0.000 0.500
Cl: 0.000 0.000 0.000
Cl: 0.000 0.500 0.000
Cl: 0.500 0.000 0.000
Cl: 0.500 0.500 0.000

Principal peaks in the range 2θ = 10–80°, by angle:
d_spacing  2θ (°)  intensity
7.912  11.18  12
3.956  22.48  27
3.280  27.19  41
3.202  27.86  18
2.982  29.97  100
2.858  31.30  47
2.230  40.44  58
2.002  45.29  17
1.930  47.09  29
1.640  56.08  17


Repeat the second record exactly.
Computed powder XRD pattern of La8GaP3Cl4 for Cu Kα, from DFT lattice parameters and positions (PBE).
Neutral-atom scattering factors, no anomalous dispersion.

Crystal structure
Cell lengths 7.728, 7.728, 9.147 Å; angles 115.42, 115.42, 62.43 degrees
Positions (direct):
La: 0.234 0.752 0.724
La: 0.243 0.243 0.714
La: 0.248 0.766 0.276
La: 0.250 0.250 0.277
La: 0.750 0.750 0.723
La: 0.752 0.234 0.724
La: 0.757 0.757 0.286
La: 0.766 0.248 0.276
Ga: 0.500 0.500 0.500
P: 0.000 0.000 0.500
P: 0.000 0.500 0.500
P: 0.500 0.000 0.500
Cl: 0.000 0.000 0.000
Cl: 0.000 0.500 0.000
Cl: 0.500 0.000 0.000
Cl: 0.500 0.500 0.000

Principal peaks in the range 2θ = 10–80°, by angle:
d_spacing  2θ (°)  intensity
7.912  11.18  12
3.956  22.48  27
3.280  27.19  41
3.202  27.86  18
2.982  29.97  100
2.858  31.30  47
2.230  40.44  58
2.002  45.29  17
1.930  47.09  29
1.640  56.08  17